Structure and theoretical powder diffractogram of TiBeNi5 (a cell relaxed with PBE; λ = 1.5418 Å (Cu Kα)).

Structure:
Cell: 3.584 3.584 6.139 Å, 90.00 90.00 90.00°
Space group P4/mmm (No. 123)
One atom of each set of equivalent atoms:
Ti1 0.000 0.000 0.000 x1
Be1 0.500 0.500 0.500 x1
Ni1 0.000 0.500 0.295 x4
Ni2 0.500 0.500 0.000 x1

Largest 6 diffraction maxima, in order of falling intensity, 2θ from 10° to 90°:
2theta  I_rel  h k l
46.47  100.0  1 1 2
38.43  50.2  1 1 1
50.96  47.0  2 0 0
44.27  23.4  0 0 3
69.76  21.5  2 0 3
35.42  19.9  1 1 0

---

Structure and theoretical powder diffractogram of NaAl2Cu2 (a cell relaxed with PBE; λ = 1.5418 Å (Cu Kα)).

Structure:
Cell: 4.423 4.423 9.542 Å, 90.00 90.00 90.00°
Space group I4/mmm (No. 139)
One atom of each set of equivalent atoms:
Na1 0.000 0.000 0.000 x2
Al1 0.000 0.000 0.359 x4
Cu1 0.000 0.500 0.250 x4

Largest 6 diffraction maxima, in order of falling intensity, 2θ from 10° to 90°:
2theta  I_rel  h k l
34.28  100.0  1 1 2
18.60  77.7  0 0 2
40.80  61.6  2 0 0
47.96  43.2  1 1 4
45.19  30.1  2 0 2
34.74  21.6  1 0 3

---

Structure and theoretical powder diffractogram of Ta4Fe4Si7 (a cell relaxed with PBE; λ = 1.5418 Å (Cu Kα)).

Structure:
Cell: 12.533 12.533 5.009 Å, 90.00 90.00 90.00°
Space group I4/mmm (No. 139)
One atom of each set of equivalent atoms:
Ta1 0.000 0.192 0.000 x8
Ta2 0.135 0.135 0.500 x8
Fe1 0.150 0.350 0.250 x16
Si1 0.000 0.000 0.250 x4
Si2 0.000 0.299 0.500 x8
Si3 0.000 0.406 0.000 x8
Si4 0.209 0.209 0.000 x8

Largest 6 diffraction maxima, in order of falling intensity, 2θ from 10° to 90°:
2theta  I_rel  h k l
40.23  100.0  5 0 1
42.71  41.4  3 1 2
31.32  34.3  3 2 1
34.51  26.2  4 1 1
67.39  22.0  5 0 3
68.19  21.2  7 3 2